# Mn6O5F7
Simulated X-ray diffraction stick pattern, Cu Kα (λ = 1.5418 Å). Input: a PBE+U-relaxed structure.

The 10 most intense peaks (10 to 90 degrees two-theta), low angle first:
Position (°2θ)	intensity
29.12	1000
29.24	920
29.98	875
31.22	819
33.98	287
43.80	380
49.80	363
51.57	357
52.15	207
63.54	201

Atomic structure:
Cell lengths 5.2819, 5.3652, 14.8320 Å; angles 93.87, 91.77, 91.58 degrees
Space group P1 (No. 1)
Symmetry-distinct sites (fractional):
Mn (0.0000, 0.0000, 0.0000) [1 per cell]
Mn (0.0019, 0.9191, 0.6632) [1 per cell]
Mn (0.0083, 0.4642, 0.4913) [1 per cell]
Mn (0.4274, 0.5594, 0.6719) [1 per cell]
Mn (0.4550, 0.9740, 0.1773) [1 per cell]
Mn (0.4948, 0.1832, 0.8282) [1 per cell]
Mn (0.5368, 0.6422, 0.9860) [1 per cell]
Mn (0.5455, 0.9731, 0.4911) [1 per cell]
Mn (0.6312, 0.5181, 0.3396) [1 per cell]
Mn (0.9317, 0.6151, 0.1601) [1 per cell]
Mn (0.9581, 0.0114, 0.3303) [1 per cell]
Mn (0.9918, 0.5070, 0.8315) [1 per cell]
O (0.1467, 0.8402, 0.2364) [1 per cell]
O (0.1605, 0.7179, 0.7494) [1 per cell]
O (0.1967, 0.6954, 0.5828) [1 per cell]
O (0.3281, 0.4420, 0.8982) [1 per cell]
O (0.6617, 0.4355, 0.7631) [1 per cell]
O (0.6687, 0.8134, 0.2623) [1 per cell]
O (0.7225, 0.8619, 0.0865) [1 per cell]
O (0.7578, 0.2409, 0.4096) [1 per cell]
O (0.8385, 0.7189, 0.9224) [1 per cell]
O (0.8550, 0.7246, 0.4175) [1 per cell]
F (0.1451, 0.2242, 0.7454) [1 per cell]
F (0.2307, 0.1481, 0.4157) [1 per cell]
F (0.2373, 0.6645, 0.0668) [1 per cell]
F (0.2460, 0.1574, 0.0936) [1 per cell]
F (0.3501, 0.9606, 0.9202) [1 per cell]
F (0.3525, 0.6549, 0.4172) [1 per cell]
F (0.4255, 0.2309, 0.5919) [1 per cell]
F (0.4296, 0.3094, 0.2551) [1 per cell]
F (0.6621, 0.9435, 0.7436) [1 per cell]
F (0.6998, 0.6896, 0.5873) [1 per cell]
F (0.7493, 0.3833, 0.0750) [1 per cell]
F (0.8535, 0.2198, 0.9033) [1 per cell]
F (0.9202, 0.1621, 0.5723) [1 per cell]
F (0.9260, 0.3452, 0.2471) [1 per cell]

# Li2NiO2F
Simulated X-ray diffraction stick pattern, Cu Kα (λ = 1.5418 Å). Input: a PBE+U-relaxed structure.

The 10 most intense peaks (10 to 90 degrees two-theta), low angle first:
Position (°2θ)	intensity
12.40	544
18.65	1000
24.96	127
35.28	198
36.97	244
42.61	423
44.94	695
63.54	208
63.76	214
66.17	132

Atomic structure:
Cell lengths 5.1406, 2.8244, 14.2811 Å; angles 90.00, 92.11, 90.00 degrees
Space group C2/m (No. 12)
Symmetry-distinct sites (fractional):
Li (0.0000, 0.0000, 0.0000) [2 per cell]
Li (0.0000, 0.0000, 0.5000) [2 per cell]
Li (0.1663, 0.5000, 0.3354) [4 per cell]
Ni (0.1679, 0.5000, 0.8324) [4 per cell]
O (0.0197, 0.0000, 0.7567) [4 per cell]
O (0.1843, 0.5000, 0.0919) [4 per cell]
F (0.1692, 0.5000, 0.5824) [4 per cell]

# CaV2O4
Simulated X-ray diffraction stick pattern, Cu Kα (λ = 1.5418 Å). Input: a PBE+U-relaxed structure.

The 10 most intense peaks (10 to 90 degrees two-theta), low angle first:
Position (°2θ)	intensity
31.55	304
32.12	1000
35.18	210
36.27	224
39.92	233
40.95	624
43.91	526
55.03	272
59.75	201
62.66	212

Atomic structure:
Cell lengths 3.0955, 9.9064, 10.1117 Å; angles 90.00, 90.00, 90.00 degrees
Space group Cmcm (No. 63)
Symmetry-distinct sites (fractional):
Ca (0.0000, 0.1144, 0.2500) [4 per cell]
V (0.0000, 0.3678, 0.0699) [8 per cell]
O (0.0000, 0.0000, 0.0000) [4 per cell]
O (0.0000, 0.2684, 0.6068) [8 per cell]
O (0.0000, 0.4332, 0.2500) [4 per cell]

# Cr3AgO8
Simulated X-ray diffraction stick pattern, Cu Kα (λ = 1.5418 Å). Input: a PBE+U-relaxed structure.

The 10 most intense peaks (10 to 90 degrees two-theta), low angle first:
Position (°2θ)	intensity
18.93	559
20.46	279
22.32	1000
24.62	385
30.92	545
31.94	795
32.15	459
34.94	634
45.55	210
61.12	198

Atomic structure:
Cell lengths 8.6976, 5.5689, 7.1761 Å; angles 90.00, 93.50, 90.00 degrees
Space group C2/m (No. 12)
Symmetry-distinct sites (fractional):
Cr (0.0000, 0.0000, 0.0000) [2 per cell]
Cr (0.1533, 0.5000, 0.2176) [4 per cell]
Ag (0.0000, 0.0000, 0.5000) [2 per cell]
O (0.0417, 0.2484, 0.2006) [8 per cell]
O (0.2228, 0.0000, 0.9496) [4 per cell]
O (0.2480, 0.5000, 0.4207) [4 per cell]

# Ba2Mn3Tl2Zn2O10
Simulated X-ray diffraction stick pattern, Cu Kα (λ = 1.5418 Å). Input: a PBE+U-relaxed structure.

The 10 most intense peaks (10 to 90 degrees two-theta), low angle first:
Position (°2θ)	intensity
27.39	364
27.56	278
28.71	238
29.66	339
30.21	334
30.40	386
31.35	641
32.44	257
33.55	1000
45.94	385

Atomic structure:
Cell lengths 3.6280, 3.9495, 20.0676 Å; angles 95.29, 93.19, 90.00 degrees
Space group P1 (No. 1)
Symmetry-distinct sites (fractional):
Ba (0.0000, 0.0000, 0.0000) [1 per cell]
Ba (0.2730, 0.2711, 0.6013) [1 per cell]
Mn (0.5069, 0.5592, 0.1271) [1 per cell]
Mn (0.7116, 0.7035, 0.4659) [1 per cell]
Mn (0.7472, 0.6308, 0.2979) [1 per cell]
Tl (0.3820, 0.4066, 0.8603) [1 per cell]
Tl (0.8738, 0.8433, 0.7392) [1 per cell]
Zn (0.0376, 0.0917, 0.2013) [1 per cell]
Zn (0.2013, 0.1682, 0.3848) [1 per cell]
O (0.0249, 0.5850, 0.1871) [1 per cell]
O (0.2225, 0.7198, 0.5023) [1 per cell]
O (0.2618, 0.3448, 0.7416) [1 per cell]
O (0.2687, 0.6546, 0.3546) [1 per cell]
O (0.4908, 0.0623, 0.1341) [1 per cell]
O (0.5173, 0.5149, 0.0292) [1 per cell]
O (0.7185, 0.1928, 0.4430) [1 per cell]
O (0.7785, 0.7891, 0.6340) [1 per cell]
O (0.7802, 0.1270, 0.2894) [1 per cell]
O (0.8132, 0.8926, 0.8433) [1 per cell]

# Li2MnSi2O6
Simulated X-ray diffraction stick pattern, Cu Kα (λ = 1.5418 Å). Input: a PBE+U-relaxed structure.

The 10 most intense peaks (10 to 90 degrees two-theta), low angle first:
Position (°2θ)	intensity
21.83	1000
26.02	81
28.45	167
34.55	331
36.33	97
36.82	147
38.89	114
39.23	82
41.40	79
63.10	106

Atomic structure:
Cell lengths 7.3822, 19.6859, 7.3053 Å; angles 90.00, 90.00, 90.00 degrees
Space group Fdd2 (No. 43)
Symmetry-distinct sites (fractional):
Li (0.0231, 0.3324, 0.0000) [16 per cell]
Mn (0.0000, 0.0000, 0.4958) [8 per cell]
Si (0.0653, 0.1662, 0.0657) [16 per cell]
O (0.0181, 0.2586, 0.5945) [16 per cell]
O (0.0259, 0.4129, 0.1604) [16 per cell]
O (0.1060, 0.3873, 0.5163) [16 per cell]

# Mg14CdCoO16
Simulated X-ray diffraction stick pattern, Cu Kα (λ = 1.5418 Å). Input: a PBE+U-relaxed structure.

The 10 most intense peaks (10 to 90 degrees two-theta), low angle first:
Position (°2θ)	intensity
14.55	296
20.64	246
25.37	187
29.36	209
36.16	372
41.96	1000
42.07	500
60.90	856
72.87	132
76.74	260

Atomic structure:
Cell lengths 8.6118, 8.6118, 4.2955 Å; angles 90.00, 90.00, 90.00 degrees
Space group P4/mmm (No. 123)
Symmetry-distinct sites (fractional):
Mg (0.0000, 0.2496, 0.0000) [4 per cell]
Mg (0.0000, 0.5000, 0.5000) [2 per cell]
Mg (0.2444, 0.5000, 0.0000) [4 per cell]
Mg (0.2468, 0.2468, 0.5000) [4 per cell]
Cd (0.5000, 0.5000, 0.5000) [1 per cell]
Co (0.0000, 0.0000, 0.5000) [1 per cell]
O (0.0000, 0.0000, 0.0000) [1 per cell]
O (0.0000, 0.2504, 0.5000) [4 per cell]
O (0.0000, 0.5000, 0.0000) [2 per cell]
O (0.2345, 0.5000, 0.5000) [4 per cell]
O (0.2499, 0.2499, 0.0000) [4 per cell]
O (0.5000, 0.5000, 0.0000) [1 per cell]